# 1
This entry pairs a crystal structure of Li5LaHg2 with its simulated PXRD pattern. Radiation: a wavelength of 1.5418 Å. Structure: a structure optimized by DFT (GGA-PBE).

Most intense lines, 2θ from 10° to 90°, sorted by position:
| d [Å] | two_theta | I (rel.) |
| --- | --- | --- |
| 6.531 | 13.56 | 27 |
| 5.200 | 17.05 | 22 |
| 4.197 | 21.17 | 56 |
| 3.032 | 29.46 | 100 |
| 2.210 | 40.83 | 22 |
| 2.121 | 42.63 | 39 |

Atomic structure:
abc: 11.192 8.393 4.167
angles: 90.00 111.69 90.00
Fractional positions:
1 Li 0.000 0.000 0.000
2 Li 0.155 0.185 0.656
3 Li 0.155 0.815 0.656
4 Li 0.345 0.315 0.344
5 Li 0.345 0.685 0.344
6 Li 0.500 0.500 0.000
7 Li 0.655 0.315 0.656
8 Li 0.655 0.685 0.656
9 Li 0.845 0.185 0.344
10 Li 0.845 0.815 0.344
11 La 0.000 0.500 0.000
12 La 0.500 0.000 0.000
13 Hg 0.239 0.500 0.737
14 Hg 0.261 0.000 0.263
15 Hg 0.739 0.000 0.737
16 Hg 0.761 0.500 0.263


# 2
This entry pairs a crystal structure of NaCa2Nb8Bi9O36 with its simulated PXRD pattern. Radiation: a wavelength of 1.5418 Å. Structure: a structure optimized by DFT (GGA-PBE).

Most intense lines, 2θ from 10° to 90°, sorted by position:
| d [Å] | two_theta | I (rel.) |
| --- | --- | --- |
| 3.579 | 24.88 | 24 |
| 3.116 | 28.65 | 100 |
| 2.818 | 31.76 | 17 |
| 2.771 | 32.31 | 17 |
| 2.533 | 35.44 | 11 |
| 1.883 | 48.32 | 12 |

Atomic structure:
abc: 5.542 25.326 5.635
angles: 90.00 90.24 90.00
Fractional positions:
1 Na 0.000 0.000 0.000
2 Ca 0.493 0.500 0.993
3 Ca 0.977 0.500 0.494
4 Nb 0.478 0.419 0.523
5 Nb 0.478 0.581 0.523
6 Nb 0.495 0.083 0.019
7 Nb 0.495 0.917 0.019
8 Nb 0.989 0.082 0.527
9 Nb 0.989 0.918 0.527
10 Nb 0.992 0.419 0.023
11 Nb 0.992 0.581 0.023
12 Bi 0.012 0.201 0.938
13 Bi 0.012 0.799 0.938
14 Bi 0.452 0.201 0.437
15 Bi 0.452 0.799 0.437
16 Bi 0.498 0.000 0.475
17 Bi 0.514 0.302 0.936
18 Bi 0.514 0.698 0.936
19 Bi 0.953 0.301 0.437
20 Bi 0.953 0.699 0.437
21 O 0.066 0.155 0.544
22 O 0.066 0.845 0.544
23 O 0.071 0.500 0.083
24 O 0.179 0.413 0.355
25 O 0.179 0.587 0.355
26 O 0.201 0.062 0.276
27 O 0.201 0.938 0.276
28 O 0.220 0.252 0.218
29 O 0.220 0.748 0.218
30 O 0.247 0.252 0.718
31 O 0.247 0.748 0.718
32 O 0.277 0.064 0.766
33 O 0.277 0.936 0.766
34 O 0.288 0.413 0.855
35 O 0.288 0.587 0.855
36 O 0.397 0.500 0.583
37 O 0.401 0.155 0.058
38 O 0.401 0.845 0.058
39 O 0.564 0.000 0.081
40 O 0.569 0.347 0.555
41 O 0.569 0.653 0.555
42 O 0.683 0.086 0.352
43 O 0.683 0.914 0.352
44 O 0.691 0.440 0.270
45 O 0.691 0.560 0.270
46 O 0.720 0.250 0.217
47 O 0.720 0.750 0.217
48 O 0.748 0.250 0.719
49 O 0.748 0.750 0.719
50 O 0.777 0.440 0.770
51 O 0.777 0.560 0.770
52 O 0.783 0.091 0.845
53 O 0.783 0.909 0.845
54 O 0.898 0.347 0.055
55 O 0.898 0.653 0.055
56 O 0.900 0.000 0.579


# 3
This entry pairs a crystal structure of La2Sm3 with its simulated PXRD pattern. Radiation: a wavelength of 1.5418 Å. Structure: a structure optimized by DFT (GGA-PBE).

Most intense lines, 2θ from 10° to 90°, sorted by position:
| d [Å] | two_theta | I (rel.) |
| --- | --- | --- |
| 3.229 | 27.62 | 34 |
| 3.093 | 28.86 | 69 |
| 2.980 | 29.98 | 100 |
| 2.867 | 31.19 | 96 |
| 2.852 | 31.37 | 42 |
| 2.570 | 34.92 | 32 |

Atomic structure:
abc: 9.551 9.551 9.551
angles: 140.09 57.42 140.48
Fractional positions:
1 La 0.191 0.125 0.316
2 La 0.309 0.625 0.934
3 La 0.691 0.375 0.066
4 La 0.809 0.875 0.684
5 Sm 0.095 0.604 0.698
6 Sm 0.250 0.250 0.000
7 Sm 0.405 0.104 0.509
8 Sm 0.595 0.896 0.491
9 Sm 0.750 0.750 0.000
10 Sm 0.905 0.396 0.302


# 4
This entry pairs a crystal structure of Tb3Tm4Zn4 with its simulated PXRD pattern. Radiation: a wavelength of 1.5418 Å. Structure: a structure optimized by DFT (GGA-PBE).

Most intense lines, 2θ from 10° to 90°, sorted by position:
| d [Å] | two_theta | I (rel.) |
| --- | --- | --- |
| 3.661 | 24.31 | 24 |
| 2.902 | 30.82 | 28 |
| 2.854 | 31.35 | 35 |
| 2.815 | 31.79 | 100 |
| 2.698 | 33.20 | 31 |
| 2.521 | 35.62 | 93 |

Atomic structure:
abc: 9.065 9.065 9.065
angles: 147.69 134.97 56.50
Fractional positions:
1 Tb 0.000 0.000 0.000
2 Tb 0.397 0.897 0.500
3 Tb 0.603 0.103 0.500
4 Tm 0.052 0.321 0.731
5 Tm 0.410 0.679 0.731
6 Tm 0.590 0.321 0.269
7 Tm 0.948 0.679 0.269
8 Zn 0.185 0.185 0.000
9 Zn 0.315 0.500 0.815
10 Zn 0.685 0.500 0.185
11 Zn 0.815 0.815 0.000


# 5
This entry pairs a crystal structure of Rb4Zn3SnF12 with its simulated PXRD pattern. Radiation: a wavelength of 1.5418 Å. Structure: a structure optimized by DFT (GGA-PBE).

Most intense lines, 2θ from 10° to 90°, sorted by position:
| d [Å] | two_theta | I (rel.) |
| --- | --- | --- |
| 3.062 | 29.16 | 100 |
| 2.165 | 41.71 | 42 |
| 1.768 | 51.70 | 40 |
| 1.531 | 60.46 | 26 |
| 1.370 | 68.51 | 18 |
| 1.157 | 83.52 | 21 |

Atomic structure:
abc: 7.501 7.501 7.501
angles: 109.47 109.47 109.47
Fractional positions:
1 Rb 0.000 0.000 0.500
2 Rb 0.000 0.500 0.000
3 Rb 0.500 0.000 0.000
4 Rb 0.500 0.500 0.500
5 Zn 0.000 0.500 0.500
6 Zn 0.500 0.000 0.500
7 Zn 0.500 0.500 0.000
8 Sn 0.000 0.000 0.000
9 F 0.000 0.269 0.269
10 F 0.000 0.731 0.731
11 F 0.250 0.500 0.750
12 F 0.250 0.750 0.500
13 F 0.269 0.000 0.269
14 F 0.269 0.269 0.000
15 F 0.500 0.250 0.750
16 F 0.500 0.750 0.250
17 F 0.731 0.000 0.731
18 F 0.731 0.731 0.000
19 F 0.750 0.250 0.500
20 F 0.750 0.500 0.250


# 6
This entry pairs a crystal structure of NbTlTeRuIBr with its simulated PXRD pattern. Radiation: a wavelength of 1.5418 Å. Structure: a structure optimized by DFT (GGA-PBE).

Most intense lines, 2θ from 10° to 90°, sorted by position:
| d [Å] | two_theta | I (rel.) |
| --- | --- | --- |
| 8.677 | 10.19 | 100 |
| 5.398 | 16.42 | 45 |
| 3.155 | 28.28 | 48 |
| 3.103 | 28.77 | 44 |
| 2.903 | 30.80 | 30 |
| 2.892 | 30.92 | 53 |

Atomic structure:
abc: 4.034 5.821 9.079
angles: 104.63 98.34 91.40
Fractional positions:
1 Nb 0.000 0.000 0.000
2 Tl 0.669 0.375 0.605
3 Te 0.985 0.478 0.985
4 Ru 0.483 0.756 0.923
5 I 0.206 0.892 0.677
6 Br 0.056 0.106 0.292


# 7
This entry pairs a crystal structure of Sb with its simulated PXRD pattern. Radiation: a wavelength of 1.5418 Å. Structure: a structure optimized by DFT (GGA-PBE).

Most intense lines, 2θ from 10° to 90°, sorted by position:
| d [Å] | two_theta | I (rel.) |
| --- | --- | --- |
| 3.104 | 28.76 | 100 |
| 2.195 | 41.13 | 76 |
| 1.792 | 50.96 | 27 |
| 1.552 | 59.57 | 12 |
| 1.388 | 67.48 | 34 |
| 1.267 | 74.95 | 25 |

Atomic structure:
abc: 3.104 3.104 3.104
angles: 90.00 90.00 90.00
Fractional positions:
1 Sb 0.000 0.000 0.000